Theoretical powder XRD pattern
Compound: CrGaSb2Cl
Radiation: CuKα
Structure: a DFT-relaxed cell (PBE, Alexandria)
Kinematic intensities with the Lorentz-polarization factor, no thermal factor.

Top 12 peaks for 10 to 90 degrees two-theta, in order of falling intensity:
| (hkl) | 2theta | I (rel.) |
| --- | --- | --- |
| 1 1 1 | 30.81 | 100 |
| 2 0 0 | 34.39 | 69 |
| 2 0 2 | 52.39 | 40 |
| 0 0 1 | 18.87 | 33 |
| 3 1 1 | 59.38 | 30 |
| 0 0 2 | 38.27 | 26 |
| 2 2 0 | 49.42 | 24 |
| 2 2 2 | 64.18 | 21 |
| 2 0 1 | 39.51 | 20 |
| 1 0 1 | 25.50 | 15 |
| 1 1 3 | 64.59 | 12 |
| 3 1 3 | 85.43 | 11 |

Crystal structure
a = 5.2162 Å, b = 5.2162 Å, c = 4.7036 Å
α = 90.00°, β = 90.00°, γ = 90.00°
Atoms (fractional coordinates):
1 Cr 0.0000 0.0000 0.0000
2 Ga 0.5000 0.5000 0.5000
3 Sb 0.0000 0.5000 0.0000
4 Sb 0.5000 0.0000 0.0000
5 Cl 0.0000 0.0000 0.5000